This entry pairs a crystal structure of Sm2GeSe4 with its calculated powder XRD pattern. Radiation: Cu Kα (weighted mean of Kα1 and Kα2). Structure: a cell relaxed with GGA-PBE.
Peak positions follow from Bragg's law for the DFT cell and can differ from measured ones.

Structure:
a = 6.551 Å, b = 6.551 Å, c = 12.038 Å
α = 90.00°, β = 90.00°, γ = 90.00°
Space group I-42m (No. 121)
Symmetry-distinct sites (fractional):
1 Sm 0.000 0.500 0.250 x4
2 Ge 0.000 0.000 0.000 x2
3 Se 0.249 0.249 0.118 x8

Main lines, sorted by position (2θ = 15–90°):
hkl  2θ/deg  I_rel
1 1 0  19.16  18
1 1 2  24.24  100
2 2 0  38.88  29
2 0 4  40.71  50
3 1 2  46.35  35
4 2 4  71.65  18

***

This entry pairs a crystal structure of SmTlGeSe4 with its calculated powder XRD pattern. Radiation: Cu Kα (weighted mean of Kα1 and Kα2). Structure: a cell relaxed with GGA-PBE.
Peak positions follow from Bragg's law for the DFT cell and can differ from measured ones.

Structure:
a = 6.858 Å, b = 6.992 Å, c = 9.014 Å
α = 90.00°, β = 107.08°, γ = 90.00°
Space group P2_1/m (No. 11)
Symmetry-distinct sites (fractional):
1 Sm 0.232 0.250 0.056 x2
2 Tl 0.247 0.250 0.564 x2
3 Ge 0.225 0.750 0.820 x2
4 Se 0.009 0.511 0.218 x4
5 Se 0.427 0.750 0.085 x2
6 Se 0.428 0.750 0.651 x2

Main lines, sorted by position (2θ = 15–90°):
hkl  2θ/deg  I_rel
1 1 0  18.55  68
0 2 0  25.48  73
2 0 -2  28.97  100
1 1 2  30.76  97
2 1 -2  31.74  90
2 2 0  37.62  69

***

This entry pairs a crystal structure of SnGe2Se4 with its calculated powder XRD pattern. Radiation: Cu Kα (weighted mean of Kα1 and Kα2). Structure: a cell relaxed with GGA-PBE.
Peak positions follow from Bragg's law for the DFT cell and can differ from measured ones.

Structure:
a = 7.843 Å, b = 7.843 Å, c = 6.424 Å
α = 90.00°, β = 90.00°, γ = 90.00°
Space group I4/m (No. 87)
Symmetry-distinct sites (fractional):
1 Sn 0.000 0.000 0.000 x2
2 Ge 0.000 0.500 0.250 x4
3 Se 0.163 0.312 0.500 x8

Main lines, sorted by position (2θ = 15–90°):
hkl  2θ/deg  I_rel
2 1 1  29.00  100
2 2 0  32.25  59
2 0 2  36.17  23
1 3 2  46.25  66
2 1 3  49.90  22
1 4 1  50.01  21

***

This entry pairs a crystal structure of SnGe4Te4Se with its calculated powder XRD pattern. Radiation: Cu Kα (weighted mean of Kα1 and Kα2). Structure: a cell relaxed with GGA-PBE.
Peak positions follow from Bragg's law for the DFT cell and can differ from measured ones.

Structure:
a = 4.2315 Å, b = 4.2315 Å, c = 54.8190 Å
α = 90.00°, β = 90.00°, γ = 120.00°
Space group R3m (No. 160, hexagonal axes)
Symmetry-distinct sites (fractional):
1 Sn 0.0000 0.0000 0.0000 x3
2 Ge 0.0000 0.0000 0.2034 x3
3 Ge 0.0000 0.0000 0.4041 x3
4 Ge 0.0000 0.0000 0.6031 x3
5 Ge 0.0000 0.0000 0.8038 x3
6 Te 0.0000 0.0000 0.1105 x3
7 Te 0.0000 0.0000 0.5101 x3
8 Te 0.0000 0.0000 0.7109 x3
9 Te 0.0000 0.0000 0.9097 x3
10 Se 0.0000 0.0000 0.3069 x3

Main lines, sorted by position (2θ = 15–90°):
hkl  2θ/deg  I_rel
1 0 10  29.32  100
0 1 20  41.13  33
1 1 0  42.74  38
0 2 10  52.67  20
1 1 30  67.76  11
2 1 10  70.07  16

***

This entry pairs a crystal structure of Tb3GeSe6 with its calculated powder XRD pattern. Radiation: Cu Kα (weighted mean of Kα1 and Kα2). Structure: a cell relaxed with GGA-PBE.
Peak positions follow from Bragg's law for the DFT cell and can differ from measured ones.

Structure:
a = 11.217 Å, b = 13.980 Å, c = 6.904 Å
α = 90.00°, β = 90.00°, γ = 90.00°
Space group Cmc2_1 (No. 36)
Symmetry-distinct sites (fractional):
1 Tb 0.000 0.096 0.000 x4
2 Tb 0.184 0.402 0.906 x8
3 Ge 0.000 0.299 0.365 x4
4 Se 0.000 0.280 0.744 x4
5 Se 0.000 0.466 0.210 x4
6 Se 0.162 0.033 0.704 x8
7 Se 0.172 0.232 0.178 x8

Main lines, sorted by position (2θ = 15–90°):
hkl  2θ/deg  I_rel
2 2 1  24.08  100
1 3 1  24.37  55
3 3 1  33.35  76
3 1 2  35.99  86
0 4 2  36.59  52
3 5 0  40.28  63

***

This entry pairs a crystal structure of Tb8Ge3Te3Se with its calculated powder XRD pattern. Radiation: Cu Kα (weighted mean of Kα1 and Kα2). Structure: a cell relaxed with GGA-PBE.
Peak positions follow from Bragg's law for the DFT cell and can differ from measured ones.

Structure:
a = 8.4334 Å, b = 8.4334 Å, c = 20.9470 Å
α = 90.00°, β = 90.00°, γ = 120.00°
Space group R-3m (No. 166, hexagonal axes)
Symmetry-distinct sites (fractional):
1 Tb 0.0000 0.0000 0.2407 x6
2 Tb 0.0123 0.5061 0.7574 x18
3 Ge 0.0000 0.5000 0.5000 x9
4 Te 0.0000 0.5000 0.0000 x9
5 Se 0.0000 0.0000 0.5000 x3

Main lines, sorted by position (2θ = 15–90°):
hkl  2θ/deg  I_rel
0 2 4  29.83  100
2 0 8  42.48  35
2 2 0  42.90  38
4 0 4  53.12  19
2 2 12  69.97  14
2 4 4  70.57  16

***

This entry pairs a crystal structure of Tb4GeTeSe2 with its calculated powder XRD pattern. Radiation: Cu Kα (weighted mean of Kα1 and Kα2). Structure: a cell relaxed with GGA-PBE.
Peak positions follow from Bragg's law for the DFT cell and can differ from measured ones.

Structure:
a = 7.206 Å, b = 4.186 Å, c = 7.370 Å
α = 90.00°, β = 109.40°, γ = 90.00°
Space group P2/m (No. 10)
Symmetry-distinct sites (fractional):
1 Tb 0.242 0.000 0.225 x2
2 Tb 0.255 0.500 0.768 x2
3 Ge 0.500 0.000 0.000 x1
4 Te 0.500 0.500 0.500 x1
5 Se 0.000 0.000 0.500 x1
6 Se 0.000 0.500 0.000 x1

Main lines, sorted by position (2θ = 15–90°):
hkl  2θ/deg  I_rel
1 1 1  30.09  100
1 1 -3  42.67  24
2 0 2  42.96  12
0 2 0  43.23  13
3 1 -1  43.44  25
2 2 -2  53.55  13

***

This entry pairs a crystal structure of TbTlGeSe4 with its calculated powder XRD pattern. Radiation: Cu Kα (weighted mean of Kα1 and Kα2). Structure: a cell relaxed with GGA-PBE.
Peak positions follow from Bragg's law for the DFT cell and can differ from measured ones.

Structure:
a = 6.784 Å, b = 6.993 Å, c = 8.996 Å
α = 90.00°, β = 107.18°, γ = 90.00°
Space group P2_1/m (No. 11)
Symmetry-distinct sites (fractional):
1 Tb 0.230 0.250 0.055 x2
2 Tl 0.244 0.250 0.564 x2
3 Ge 0.227 0.750 0.824 x2
4 Se 0.010 0.511 0.214 x4
5 Se 0.432 0.750 0.655 x2
6 Se 0.436 0.750 0.087 x2

Main lines, sorted by position (2θ = 15–90°):
hkl  2θ/deg  I_rel
1 1 0  18.67  74
0 2 0  25.48  73
1 1 2  30.93  100
2 1 -2  31.94  93
1 2 -2  33.35  58
2 2 0  37.85  65